This entry pairs a crystal structure of Na4AgHg4 with its simulated powder diffraction line list. Radiation: CuKα. Structure: a structure optimized by DFT (PBE).
Lines closer than 0.1° are merged.

Top 12 peaks for 10 to 90 degrees two-theta, in order of rising 2θ:
2θ = 13.25°, intensity 21; 2θ = 15.86°, intensity 25; 2θ = 24.42°, intensity 100; 2θ = 29.04°, intensity 48; 2θ = 32.04°, intensity 33; 2θ = 33.26°, intensity 29; 2θ = 33.84°, intensity 71; 2θ = 39.85°, intensity 23; 2θ = 41.53°, intensity 27; 2θ = 48.77°, intensity 25; 2θ = 54.61°, intensity 26; 2θ = 62.67°, intensity 16

Structural model:
a = 6.1498 Å, b = 6.1498 Å, c = 13.3595 Å
α = 90.00°, β = 90.00°, γ = 90.00°
Space group I-42m (No. 121)
Unique sites:
1 Na 0.2022 0.2022 0.1013 [8 per cell]
2 Ag 0.0000 0.0000 0.5000 [2 per cell]
3 Hg 0.2156 0.2156 0.3320 [8 per cell]